The following is a computed X-ray powder pattern of Ba2LaSnSe4. It was derived from a cell relaxed with PBE, using Cu Ka.
Neutral-atom scattering factors, no anomalous dispersion.

Top 10 peaks for 2θ from 10° to 80°, in order of falling intensity:
Position (°2θ)  d [Å]  I_rel
27.99  3.188  100
39.99  2.254  50
65.46  1.426  22
49.26  1.850  13
49.78  1.832  13
39.68  2.271  13
40.30  2.238  12
57.84  1.594  12
72.22  1.308  8
73.06  1.295  8

Crystal structure
```
data_Ba2LaSnSe4
_space_group_name_H-M_alt 'I m m a'
_space_group_IT_number 74
_space_group_name_Hall '-I 2b 2'
_cell_length_a 8.9514
_cell_length_b 9.0860
_cell_length_c 12.7528
_cell_angle_alpha 90.00
_cell_angle_beta 90.00
_cell_angle_gamma 90.00
loop_
_atom_site_label
_atom_site_fract_x
_atom_site_fract_y
_atom_site_fract_z
_atom_site_occupancy
Ba1 0.0000 0.0000 0.0000 1
Ba2 0.2500 0.2500 0.2500 1
La1 0.2500 0.2500 0.7500 1
Sn1 0.0000 0.0000 0.5000 1
Se1 0.0000 0.0174 0.7421 1
Se2 0.2342 0.2500 0.5102 1
```